This entry pairs a crystal structure of Mg2Cr3InS8 with its simulated powder XRD pattern. Radiation: Cu Kα. Structure: a structure optimized by DFT (PBE).

Principal peaks in the range 2θ from 5° to 70°, in order of falling intensity:
- hkl 0 2 4, 2θ = 34.54°, intensity 100
- hkl 1 0 1, 2θ = 14.83°, intensity 85
- hkl 1 1 3, 2θ = 28.53°, intensity 61
- hkl 2 2 0, 2θ = 49.96°, intensity 48
- hkl 2 0 8, 2θ = 49.35°, intensity 44
- hkl 0 1 5, 2θ = 28.29°, intensity 29
- hkl 1 2 5, 2θ = 45.39°, intensity 24
- hkl 0 3 3, 2θ = 45.55°, intensity 18
- hkl 1 1 0, 2θ = 24.38°, intensity 15
- hkl 4 0 4, 2θ = 62.16°, intensity 15

Atomic structure:
Lattice parameters (Å, degrees): 7.3027 7.3027 18.1971 90.00 90.00 120.00
Space group R-3m (No. 166, hexagonal axes)
Asymmetric unit:
Mg  0.0000  0.0000  0.1250
Cr  0.0000  0.5000  0.0000
In  0.0000  0.0000  0.5000
S  0.0000  0.0000  0.2635
S  0.0224  0.5112  0.2609

---

This entry pairs a crystal structure of TmAl8Fe4 with its simulated powder XRD pattern. Radiation: Cu Kα. Structure: a structure optimized by DFT (PBE).

Principal peaks in the range 2θ from 5° to 70°, in order of falling intensity:
- hkl 4 0 0, 2θ = 41.64°, intensity 100
- hkl 2 2 0, 2θ = 29.10°, intensity 74
- hkl 2 0 2, 2θ = 41.52°, intensity 67
- hkl 1 1 0, 2θ = 14.44°, intensity 39
- hkl 1 0 1, 2θ = 20.42°, intensity 37
- hkl 3 0 1, 2θ = 35.83°, intensity 34
- hkl 4 2 2, 2θ = 60.28°, intensity 29
- hkl 3 1 0, 2θ = 32.65°, intensity 21
- hkl 6 2 0, 2θ = 68.41°, intensity 16
- hkl 3 1 2, 2θ = 49.16°, intensity 13

Atomic structure:
Lattice parameters (Å, degrees): 8.672 8.672 5.029 90.00 90.00 90.00
Space group I4/mmm (No. 139)
Asymmetric unit:
Tm  0.000  0.000  0.000
Al  0.000  0.219  0.500
Al  0.000  0.338  0.000
Fe  0.250  0.250  0.250

---

This entry pairs a crystal structure of KYB4H16 with its simulated powder XRD pattern. Radiation: Cu Kα. Structure: a structure optimized by DFT (PBE).

Principal peaks in the range 2θ from 5° to 70°, in order of falling intensity:
- hkl 1 1 1, 2θ = 15.05°, intensity 100
- hkl 1 1 2, 2θ = 21.69°, intensity 70
- hkl 0 2 1, 2θ = 16.21°, intensity 70
- hkl 1 3 0, 2θ = 22.67°, intensity 41
- hkl 2 0 0, 2θ = 20.09°, intensity 38
- hkl 2 4 2, 2θ = 38.73°, intensity 33
- hkl 2 2 1, 2θ = 25.92°, intensity 30
- hkl 3 3 0, 2θ = 36.73°, intensity 25
- hkl 0 2 3, 2θ = 30.37°, intensity 21
- hkl 0 4 2, 2θ = 32.76°, intensity 19

Atomic structure:
Lattice parameters (Å, degrees): 8.841 13.130 9.878 90.00 90.00 90.00
Space group Cmcm (No. 63)
Asymmetric unit:
K  0.000  0.000  0.000
Y  0.000  0.364  0.250
B  0.000  0.258  0.044
B  0.228  0.474  0.250
H  0.000  0.205  0.555
H  0.000  0.350  0.013
H  0.113  0.243  0.116
H  0.148  0.489  0.149
H  0.165  0.032  0.250
H  0.234  0.116  0.750

---

This entry pairs a crystal structure of Sc11Nb3O24 with its simulated powder XRD pattern. Radiation: Cu Kα. Structure: a structure optimized by DFT (PBE).

Principal peaks in the range 2θ from 5° to 70°, in order of falling intensity:
- hkl 2 -1 1, 2θ = 30.98°, intensity 100
- hkl -1 1 2, 2θ = 30.85°, intensity 50
- hkl 2 2 2, 2θ = 30.53°, intensity 39
- hkl 2 1 -3, 2θ = 51.70°, intensity 37
- hkl 1 2 1, 2θ = 23.04°, intensity 24
- hkl 0 0 2, 2θ = 24.19°, intensity 22
- hkl 1 0 3, 2θ = 35.71°, intensity 18
- hkl 1 -3 2, 2θ = 51.77°, intensity 17
- hkl 4 1 3, 2θ = 51.27°, intensity 17
- hkl 3 4 1, 2θ = 51.30°, intensity 16

Atomic structure:
Lattice parameters (Å, degrees): 7.945 7.967 7.984 71.72 71.97 72.01
Space group P1 (No. 1)
Asymmetric unit:
Sc  0.000  0.000  0.000
Sc  0.026  0.792  0.678
Sc  0.178  0.353  0.885
Sc  0.212  0.152  0.560
Sc  0.319  0.969  0.212
Sc  0.501  0.499  0.489
Sc  0.535  0.283  0.180
Sc  0.676  0.862  0.384
Sc  0.712  0.646  0.067
Sc  0.824  0.465  0.712
Sc  0.892  0.176  0.353
Nb  0.101  0.577  0.289
Nb  0.390  0.675  0.854
Nb  0.607  0.079  0.778
O  0.018  0.240  0.787
O  0.022  0.346  0.409
O  0.099  0.160  0.111
O  0.114  0.984  0.456
O  0.197  0.799  0.142
O  0.205  0.895  0.778
O  0.251  0.498  0.039
O  0.281  0.583  0.696
O  0.333  0.437  0.367
O  0.377  0.208  0.694
O  0.436  0.065  0.369
O  0.474  0.154  0.009
O  0.517  0.838  0.905
O  0.520  0.743  0.290
O  0.587  0.665  0.622
O  0.607  0.487  0.951
O  0.691  0.304  0.646
O  0.694  0.401  0.271
O  0.741  0.985  0.554
O  0.777  0.078  0.194
O  0.835  0.938  0.867
O  0.879  0.705  0.195
O  0.935  0.563  0.868
O  0.972  0.659  0.511

---

This entry pairs a crystal structure of V2ReOs with its simulated powder XRD pattern. Radiation: Cu Kα. Structure: a structure optimized by DFT (PBE).

Principal peaks in the range 2θ from 5° to 70°, in order of falling intensity:
- hkl 2 2 0, 2θ = 42.16°, intensity 100
- hkl 2 0 0, 2θ = 29.47°, intensity 42
- hkl 4 2 0, 2θ = 69.33°, intensity 17
- hkl 4 0 0, 2θ = 61.16°, intensity 16
- hkl 2 2 2, 2θ = 52.28°, intensity 12

Atomic structure:
Lattice parameters (Å, degrees): 6.062 6.062 6.062 90.00 90.00 90.00
Space group Fm-3m (No. 225)
Asymmetric unit:
V  0.250  0.250  0.250
Re  0.000  0.000  0.000
Os  0.000  0.000  0.500

---

This entry pairs a crystal structure of UFe3B2 with its simulated powder XRD pattern. Radiation: Cu Kα. Structure: a structure optimized by DFT (PBE).

Principal peaks in the range 2θ from 5° to 70°, in order of falling intensity:
- hkl 1 0 1, 2θ = 37.68°, intensity 100
- hkl 2 0 0, 2θ = 40.71°, intensity 81
- hkl 1 0 0, 2θ = 20.03°, intensity 74
- hkl 1 1 1, 2θ = 47.90°, intensity 59
- hkl 2 1 1, 2θ = 64.63°, intensity 42
- hkl 1 1 0, 2θ = 35.06°, intensity 27
- hkl 2 1 0, 2θ = 54.79°, intensity 12
- hkl 0 0 2, 2θ = 65.95°, intensity 7
- hkl 1 0 2, 2θ = 69.69°, intensity 6
- hkl 3 0 0, 2θ = 62.90°, intensity 5

Atomic structure:
Lattice parameters (Å, degrees): 5.1185 5.1185 2.8328 90.00 90.00 120.00
Space group P6/mmm (No. 191)
Asymmetric unit:
U  0.0000  0.0000  0.0000
Fe  0.0000  0.5000  0.5000
B  0.3333  0.6667  0.0000

---

This entry pairs a crystal structure of MgSbRh2 with its simulated powder XRD pattern. Radiation: Cu Kα. Structure: a structure optimized by DFT (PBE).

Principal peaks in the range 2θ from 5° to 70°, in order of falling intensity:
- hkl 2 2 0, 2θ = 39.98°, intensity 100
- hkl 1 1 1, 2θ = 24.17°, intensity 18
- hkl 4 0 0, 2θ = 57.82°, intensity 17
- hkl 3 1 1, 2θ = 47.26°, intensity 9
- hkl 2 0 0, 2θ = 27.98°, intensity 4
- hkl 3 3 1, 2θ = 63.58°, intensity 4
- hkl 4 2 0, 2θ = 65.44°, intensity 1
- hkl 2 2 2, 2θ = 49.50°, intensity 1

Atomic structure:
Lattice parameters (Å, degrees): 6.379 6.379 6.379 90.00 90.00 90.00
Space group Fm-3m (No. 225)
Asymmetric unit:
Mg  0.000  0.000  0.000
Sb  0.000  0.000  0.500
Rh  0.250  0.250  0.250